(1)
Calculated powder X-ray diffraction pattern of Li5Fe3Cu2P6O24 for CuKα, from the GGA+U geometry in the Materials Project.

Structural model:
abc: 8.326 8.520 8.753
angles: 61.60 62.17 62.56
Positions (direct):
Li 0.000 0.000 0.000
Li 0.007 0.822 0.347
Li 0.353 0.012 0.833
Li 0.814 0.350 0.014
Li 0.905 0.301 0.514
Fe 0.301 0.301 0.302
Fe 0.506 0.518 0.512
Fe 0.801 0.807 0.816
Cu 0.155 0.158 0.153
Cu 0.645 0.660 0.663
P 0.094 0.412 0.693
P 0.216 0.907 0.619
P 0.407 0.704 0.120
P 0.595 0.210 0.916
P 0.708 0.120 0.416
P 0.907 0.607 0.210
O 0.050 0.837 0.669
O 0.057 0.403 0.233
O 0.097 0.256 0.880
O 0.109 0.353 0.545
O 0.195 0.967 0.765
O 0.214 0.067 0.431
O 0.245 0.896 0.113
O 0.256 0.492 0.624
O 0.340 0.544 0.159
O 0.395 0.221 0.071
O 0.414 0.747 0.589
O 0.487 0.652 0.268
O 0.540 0.177 0.352
O 0.555 0.735 0.922
O 0.585 0.399 0.751
O 0.639 0.049 0.853
O 0.681 0.263 0.492
O 0.727 0.918 0.563
O 0.746 0.180 0.986
O 0.753 0.575 0.405
O 0.845 0.648 0.050
O 0.890 0.566 0.730
O 0.900 0.109 0.252
O 0.973 0.759 0.182

Most intense lines, 10 to 90 degrees two-theta, in order of rising 2θ:
two_theta  I/Imax
20.1  100
20.3  41
23.6  59
23.9  63
24.3  36
24.6  56
32.2  41
32.6  40
32.8  34
35.1  30
35.4  29
35.5  33



(2)
Calculated powder X-ray diffraction pattern of Li4FeCu3P4O16 for CuKα, from the GGA+U geometry in the Materials Project.

Structural model:
abc: 4.765 6.106 10.079
angles: 90.00 90.58 90.00
Positions (direct):
Li 0.000 0.243 0.000
Li 0.000 0.757 0.000
Li 0.504 0.246 0.484
Li 0.504 0.754 0.484
Fe 0.982 0.500 0.710
Cu 0.043 0.000 0.276
Cu 0.446 0.000 0.777
Cu 0.551 0.500 0.207
P 0.083 0.500 0.395
P 0.414 0.500 0.896
P 0.578 0.000 0.086
P 0.926 0.000 0.587
O 0.199 0.500 0.543
O 0.219 0.296 0.329
O 0.219 0.704 0.329
O 0.249 0.000 0.592
O 0.255 0.000 0.089
O 0.266 0.303 0.822
O 0.266 0.697 0.822
O 0.307 0.500 0.040
O 0.689 0.000 0.940
O 0.717 0.203 0.154
O 0.717 0.797 0.154
O 0.735 0.500 0.883
O 0.759 0.500 0.392
O 0.800 0.000 0.444
O 0.800 0.209 0.656
O 0.800 0.791 0.656

Most intense lines, 10 to 90 degrees two-theta, in order of rising 2θ:
two_theta  I/Imax
17.6  58
20.5  56
20.7  33
25.2  63
25.4  66
29.3  100
32.5  26
35.7  60
36.0  96
38.7  44
52.1  31
56.8  29



(3)
Calculated powder X-ray diffraction pattern of Li4TiFe3Cu2P6O24 for CuKα, from the GGA+U geometry in the Materials Project.

Structural model:
abc: 8.576 8.676 8.728
angles: 61.26 61.58 61.55
Positions (direct):
Li 0.000 0.000 0.000
Li 0.089 0.508 0.869
Li 0.461 0.695 0.310
Li 0.902 0.069 0.498
Ti 0.894 0.500 0.306
Fe 0.097 0.700 0.505
Fe 0.392 0.995 0.791
Fe 0.600 0.212 0.008
Cu 0.265 0.848 0.639
Cu 0.722 0.366 0.152
P 0.198 0.106 0.189
P 0.300 0.605 0.107
P 0.502 0.389 0.612
P 0.697 0.905 0.408
P 0.788 0.812 0.912
P 0.999 0.306 0.706
O 0.006 0.269 0.226
O 0.059 0.455 0.686
O 0.127 0.543 0.167
O 0.153 0.112 0.717
O 0.185 0.945 0.378
O 0.205 0.059 0.035
O 0.282 0.658 0.260
O 0.284 0.774 0.928
O 0.342 0.580 0.594
O 0.364 0.162 0.135
O 0.448 0.230 0.641
O 0.486 0.445 0.076
O 0.506 0.913 0.564
O 0.571 0.347 0.764
O 0.616 0.852 0.869
O 0.662 0.419 0.417
O 0.689 0.083 0.236
O 0.754 0.731 0.354
O 0.771 0.964 0.969
O 0.810 0.618 0.076
O 0.841 0.276 0.895
O 0.848 0.884 0.469
O 0.940 0.361 0.537
O 0.976 0.785 0.751

Most intense lines, 10 to 90 degrees two-theta, in order of rising 2θ:
two_theta  I/Imax
20.1  100
23.6  20
23.7  40
23.8  18
24.0  37
32.3  18
32.5  36
32.7  17
32.9  33
35.0  19
35.2  36
48.5  16



(4)
Calculated powder X-ray diffraction pattern of Li4Fe3Cu2Sb3O16 for CuKα, from the GGA+U geometry in the Materials Project.

Structural model:
abc: 6.105 6.120 9.949
angles: 89.34 88.77 60.31
Positions (direct):
Li 0.000 0.000 0.000
Li 0.007 0.998 0.489
Li 0.353 0.331 0.595
Li 0.684 0.668 0.115
Fe 0.188 0.669 0.276
Fe 0.681 0.174 0.276
Fe 0.854 0.838 0.774
Cu 0.369 0.354 0.013
Cu 0.688 0.678 0.462
Sb 0.191 0.175 0.275
Sb 0.359 0.840 0.778
Sb 0.853 0.347 0.777
O 0.001 0.516 0.671
O 0.024 0.009 0.178
O 0.026 0.013 0.671
O 0.056 0.485 0.156
O 0.173 0.162 0.891
O 0.176 0.703 0.886
O 0.330 0.853 0.387
O 0.348 0.336 0.388
O 0.501 0.484 0.157
O 0.504 0.033 0.159
O 0.534 0.979 0.669
O 0.536 0.521 0.664
O 0.682 0.671 0.891
O 0.706 0.171 0.886
O 0.859 0.844 0.384
O 0.866 0.319 0.388

Most intense lines, 10 to 90 degrees two-theta, in order of rising 2θ:
two_theta  I/Imax
17.8  100
18.9  62
19.1  17
24.3  16
24.8  16
34.2  26
34.8  22
34.9  42
35.3  16
43.3  22
43.6  21
57.9  16



(5)
Calculated powder X-ray diffraction pattern of Li4Fe3Cu3Sb2O16 for CuKα, from the GGA+U geometry in the Materials Project.

Structural model:
abc: 5.980 5.980 9.737
angles: 90.40 90.40 59.79
Positions (direct):
Li 0.000 0.000 0.000
Li 0.005 0.005 0.503
Li 0.344 0.344 0.419
Li 0.669 0.669 0.916
Fe 0.174 0.174 0.726
Fe 0.344 0.835 0.226
Fe 0.835 0.344 0.226
Cu 0.172 0.664 0.726
Cu 0.664 0.172 0.726
Cu 0.834 0.834 0.225
Sb 0.335 0.335 0.999
Sb 0.674 0.674 0.499
O 0.001 0.001 0.314
O 0.001 0.001 0.810
O 0.034 0.480 0.862
O 0.171 0.171 0.109
O 0.175 0.672 0.105
O 0.341 0.341 0.626
O 0.341 0.847 0.606
O 0.480 0.034 0.862
O 0.484 0.484 0.857
O 0.520 0.973 0.359
O 0.525 0.525 0.360
O 0.672 0.175 0.105
O 0.672 0.672 0.121
O 0.843 0.843 0.606
O 0.847 0.341 0.606
O 0.973 0.520 0.359

Most intense lines, 10 to 90 degrees two-theta, in order of rising 2θ:
two_theta  I/Imax
19.4  93
19.5  100
25.0  33
25.2  31
32.5  40
32.6  36
35.1  34
35.3  65
36.0  58
44.9  30
59.6  31
62.1  33



(6)
Calculated powder X-ray diffraction pattern of Li4Ti3Fe3Cu2O16 for CuKα, from the GGA+U geometry in the Materials Project.

Structural model:
abc: 5.901 5.938 9.614
angles: 89.16 89.98 60.25
Positions (direct):
Li 0.000 0.000 0.000
Li 0.000 0.004 0.499
Li 0.334 0.332 0.901
Li 0.668 0.663 0.400
Ti 0.175 0.656 0.218
Ti 0.340 0.824 0.717
Ti 0.831 0.829 0.716
Fe 0.170 0.167 0.216
Fe 0.665 0.164 0.216
Fe 0.835 0.335 0.717
Cu 0.338 0.323 0.490
Cu 0.671 0.663 0.991
O 0.003 0.992 0.313
O 0.005 0.993 0.815
O 0.043 0.479 0.345
O 0.165 0.671 0.611
O 0.171 0.157 0.608
O 0.332 0.340 0.106
O 0.334 0.828 0.107
O 0.476 0.481 0.346
O 0.481 0.037 0.343
O 0.518 0.524 0.844
O 0.522 0.960 0.839
O 0.662 0.676 0.607
O 0.674 0.157 0.607
O 0.838 0.326 0.106
O 0.841 0.826 0.107
O 0.960 0.525 0.844

Most intense lines, 10 to 90 degrees two-theta, in order of rising 2θ:
two_theta  I/Imax
18.5  78
19.6  62
19.7  100
25.5  31
33.1  31
35.3  37
35.7  73
36.2  39
40.0  33
45.1  33
45.5  47
62.6  48



(7)
Calculated powder X-ray diffraction pattern of Li4Ti3Fe2Cu3O16 for CuKα, from the GGA+U geometry in the Materials Project.

Structural model:
abc: 5.886 5.886 9.625
angles: 91.00 91.00 60.01
Positions (direct):
Li 0.000 0.000 0.000
Li 0.010 0.010 0.506
Li 0.349 0.349 0.408
Li 0.677 0.677 0.906
Ti 0.186 0.186 0.731
Ti 0.352 0.847 0.227
Ti 0.847 0.352 0.227
Fe 0.346 0.346 0.001
Fe 0.679 0.679 0.504
Cu 0.183 0.672 0.719
Cu 0.672 0.183 0.719
Cu 0.841 0.841 0.220
O 0.008 0.008 0.811
O 0.010 0.010 0.317
O 0.042 0.483 0.854
O 0.174 0.174 0.114
O 0.179 0.683 0.107
O 0.343 0.855 0.607
O 0.344 0.344 0.615
O 0.483 0.042 0.854
O 0.490 0.490 0.844
O 0.521 0.976 0.353
O 0.529 0.529 0.342
O 0.669 0.669 0.112
O 0.683 0.179 0.107
O 0.850 0.850 0.609
O 0.855 0.343 0.607
O 0.976 0.521 0.353

Most intense lines, 10 to 90 degrees two-theta, in order of rising 2θ:
two_theta  I/Imax
18.4  100
19.6  66
19.8  92
35.5  30
35.8  27
36.1  29
36.3  45
36.6  28
45.2  31
45.7  32
59.9  26
63.2  65



(8)
Calculated powder X-ray diffraction pattern of Li4Ti2Fe3Cu3O16 for CuKα, from the GGA+U geometry in the Materials Project.

Structural model:
abc: 5.921 5.921 9.563
angles: 90.46 90.46 60.12
Positions (direct):
Li 0.000 0.000 0.000
Li 0.003 0.003 0.505
Li 0.341 0.341 0.407
Li 0.671 0.671 0.904
Ti 0.333 0.333 0.007
Ti 0.667 0.667 0.505
Fe 0.174 0.174 0.726
Fe 0.344 0.832 0.225
Fe 0.832 0.344 0.225
Cu 0.171 0.661 0.723
Cu 0.661 0.171 0.723
Cu 0.834 0.834 0.222
O 0.040 0.483 0.855
O 0.172 0.172 0.102
O 0.175 0.670 0.101
O 0.342 0.342 0.619
O 0.344 0.845 0.601
O 0.481 0.481 0.851
O 0.483 0.040 0.855
O 0.523 0.523 0.353
O 0.524 0.967 0.352
O 0.670 0.175 0.101
O 0.676 0.676 0.116
O 0.840 0.840 0.602
O 0.845 0.344 0.601
O 0.967 0.524 0.352
O 0.996 0.996 0.314
O 0.998 0.998 0.810

Most intense lines, 10 to 90 degrees two-theta, in order of rising 2θ:
two_theta  I/Imax
18.6  100
19.6  94
19.7  22
33.0  25
33.2  24
35.6  37
36.2  73
39.8  27
45.2  43
45.5  29
60.5  20
62.8  34